(1)
Theoretical powder diffraction line list
Compound: MoAsO4
Radiation: a wavelength of 1.5418 Å
Structure: a GGA+U-relaxed structure
Intensities are scaled so that the largest is 100.

Main lines, sorted by position (10 to 90 degrees two-theta):
(hkl)	2θ (°)	I/Imax
0 1 0	17.72	85
0 1 1	22.12	100
1 0 0	23.67	26
1 0 1	24.87	56
1 1 0	27.89	50
0 1 -1	28.85	31
1 0 -1	34.75	20
0 2 1	35.95	26
0 0 2	37.40	28
2 1 1	45.08	28

Atomic structure:
Unit cell a=4.080 b=5.314 c=5.358 alpha=71.66 beta=68.18 gamma=77.04
Space group P1 (No. 1)
One atom of each set of equivalent atoms:
Mo 0.000 0.000 0.000 [1 per cell]
As 0.341 0.677 0.449 [1 per cell]
O 0.211 0.930 0.632 [1 per cell]
O 0.497 0.906 0.075 [1 per cell]
O 0.909 0.335 0.991 [1 per cell]
O 0.916 0.741 0.361 [1 per cell]

=====

(2)
Theoretical powder diffraction line list
Compound: MoAs2O7
Radiation: a wavelength of 1.5418 Å
Structure: a GGA+U-relaxed structure
Intensities are scaled so that the largest is 100.

Main lines, sorted by position (10 to 90 degrees two-theta):
(hkl)	2θ (°)	I/Imax
1 1 0	14.85	72
1 1 -1	16.69	53
1 1 1	18.00	98
0 2 1	21.19	40
1 0 2	22.36	100
2 1 -1	25.49	24
1 2 -2	27.96	56
2 1 -2	29.18	42
1 3 0	31.16	33
3 2 -2	42.22	25

Atomic structure:
Unit cell a=7.845 b=9.262 c=9.942 alpha=90.00 beta=96.47 gamma=90.00
Space group P2_1/c (No. 14)
One atom of each set of equivalent atoms:
Mo 0.203 0.048 0.307 [4 per cell]
As 0.169 0.722 0.485 [4 per cell]
As 0.425 0.731 0.259 [4 per cell]
O 0.034 0.076 0.181 [4 per cell]
O 0.117 0.633 0.873 [4 per cell]
O 0.170 0.154 0.444 [4 per cell]
O 0.318 0.662 0.110 [4 per cell]
O 0.348 0.646 0.397 [4 per cell]
O 0.363 0.191 0.232 [4 per cell]
O 0.409 0.585 0.764 [4 per cell]

=====

(3)
Theoretical powder diffraction line list
Compound: PmMoAsO5
Radiation: a wavelength of 1.5418 Å
Structure: a GGA+U-relaxed structure
Intensities are scaled so that the largest is 100.

Main lines, sorted by position (10 to 90 degrees two-theta):
(hkl)	2θ (°)	I/Imax
1 1 0	16.73	28
1 1 -2	24.26	97
2 0 0	28.10	72
0 2 2	29.51	100
1 3 0	31.26	88
1 1 2	32.10	26
2 2 -2	35.21	36
0 0 4	46.57	45
3 3 0	51.75	28
1 3 -4	52.67	26

Atomic structure:
Unit cell a=6.745 b=9.613 c=8.277 alpha=90.00 beta=109.66 gamma=90.00
Space group C2/c (No. 15)
One atom of each set of equivalent atoms:
Pm 0.000 0.000 0.000 [4 per cell]
Mo 0.000 0.316 0.250 [4 per cell]
As 0.000 0.315 0.750 [4 per cell]
O 0.000 0.101 0.250 [4 per cell]
O 0.145 0.422 0.912 [8 per cell]
O 0.150 0.200 0.675 [8 per cell]

=====

(4)
Theoretical powder diffraction line list
Compound: TlMoAsO6
Radiation: a wavelength of 1.5418 Å
Structure: a GGA+U-relaxed structure
Intensities are scaled so that the largest is 100.

Main lines, sorted by position (10 to 90 degrees two-theta):
(hkl)	2θ (°)	I/Imax
0 1 1	24.42	100
0 0 2	28.28	13
1 1 0	34.81	34
2 0 1	42.98	19
2 -1 2	45.43	33
0 1 3	47.79	13
3 -2 1	56.45	21
3 0 0	62.41	14
1 1 4	69.89	14
3 1 1	78.77	12

Atomic structure:
Unit cell a=5.1548 b=5.1548 c=6.3118 alpha=90.00 beta=90.00 gamma=120.00
Space group P3 (No. 143)
One atom of each set of equivalent atoms:
Tl 0.0000 0.0000 0.0000 [1 per cell]
Mo 0.6667 0.3333 0.4918 [1 per cell]
As 0.3333 0.6667 0.4450 [1 per cell]
O 0.0041 0.6022 0.2925 [3 per cell]
O 0.0169 0.3970 0.6334 [3 per cell]